1.
# PmTe4Au2
Computed XRD peak list, Cu Ka. Input: a DFT-relaxed cell (PBE, Alexandria).

Cell and atoms:
a b c (Å): 7.4313 7.4313 13.2566
angles (deg): 90.00 90.00 146.22
Fractional positions:
Pm 0.1117 0.8883 0.7500
Pm 0.8883 0.1117 0.2500
Te 0.0000 0.0000 0.0000
Te 0.0000 0.0000 0.5000
Te 0.2812 0.7188 0.1151
Te 0.2812 0.7188 0.3849
Te 0.4521 0.5479 0.7500
Te 0.5479 0.4521 0.2500
Te 0.7188 0.2812 0.6151
Te 0.7188 0.2812 0.8849
Au 0.3685 0.6315 0.5669
Au 0.3685 0.6315 0.9331
Au 0.6315 0.3685 0.0669
Au 0.6315 0.3685 0.4331

Top 10 peaks for 10° ≤ 2θ ≤ 80°, in order of rising 2θ:
2θ/deg	d [Å]	Rel. int.
23.71	3.753	51.9
27.95	3.192	45.1
28.77	3.103	100.0
29.74	3.004	49.3
31.10	2.876	96.7
40.39	2.233	82.6
41.84	2.159	46.5
43.29	2.090	90.0
52.17	1.753	20.2
61.79	1.501	44.0

2.
# Pm2ThAu4
Computed XRD peak list, Cu Ka. Input: a DFT-relaxed cell (PBE, Alexandria).

Cell and atoms:
a b c (Å): 6.2763 6.2763 6.2763
angles (deg): 110.64 110.64 107.16
Fractional positions:
Pm 0.0000 0.5000 0.5000
Pm 0.5000 0.0000 0.5000
Th 0.0000 0.0000 0.0000
Au 0.0000 0.0000 0.5000
Au 0.0000 0.5000 0.0000
Au 0.5000 0.0000 0.0000
Au 0.5000 0.5000 0.5000

Top 10 peaks for 10° ≤ 2θ ≤ 80°, in order of rising 2θ:
2θ/deg	d [Å]	Rel. int.
17.20	5.157	16.0
30.45	2.936	8.2
34.80	2.578	100.0
35.55	2.525	47.2
48.89	1.863	9.7
51.15	1.786	17.0
61.89	1.499	19.3
63.36	1.468	36.0
73.46	1.289	11.8
75.26	1.263	5.8

3.
# Pm5Tl2Au
Computed XRD peak list, Cu Ka. Input: a DFT-relaxed cell (PBE, Alexandria).

Cell and atoms:
a b c (Å): 6.9618 13.3353 5.1336
angles (deg): 90.00 90.00 90.00
Fractional positions:
Pm 0.0000 0.0000 0.0000
Pm 0.1100 0.2799 0.0000
Pm 0.1747 0.5978 0.5000
Pm 0.3253 0.0978 0.5000
Pm 0.3900 0.7799 0.0000
Pm 0.5000 0.5000 0.0000
Pm 0.6100 0.2201 0.0000
Pm 0.6747 0.9022 0.5000
Pm 0.8253 0.4022 0.5000
Pm 0.8900 0.7201 0.0000
Tl 0.1341 0.8502 0.5000
Tl 0.3659 0.3502 0.5000
Tl 0.6341 0.6498 0.5000
Tl 0.8659 0.1498 0.5000
Au 0.0000 0.5000 0.0000
Au 0.5000 0.0000 0.0000

Top 10 peaks for 10° ≤ 2θ ≤ 80°, in order of rising 2θ:
2θ/deg	d [Å]	Rel. int.
29.52	3.026	16.3
29.71	3.007	21.4
31.04	2.881	33.5
31.78	2.816	90.7
32.01	2.796	100.0
32.68	2.741	27.4
34.96	2.567	56.8
37.35	2.408	16.6
48.60	1.873	22.9
59.83	1.546	18.5